# Li2TiFeO4
Computed powder X-ray diffraction pattern, Cu Kα (weighted mean of Kα1 and Kα2). Input: a crystal structure in the Materials Project, relaxed with PBE+U.

Crystal structure
Unit cell a=4.0237 b=5.3415 c=8.1083 alpha=92.73 beta=104.33 gamma=112.10
Positions (direct):
Li 0.0000 0.0000 0.0000
Li 0.1143 0.8294 0.4048
Li 0.4987 0.4998 0.5001
Li 0.6190 0.3303 0.9045
Ti 0.3874 0.6621 0.1468
Ti 0.9201 0.1616 0.6463
Fe 0.2456 0.7402 0.7514
Fe 0.7451 0.2408 0.2516
O 0.1167 0.3661 0.8647
O 0.2654 0.3040 0.2246
O 0.3721 0.1295 0.6255
O 0.4858 0.9560 0.0101
O 0.6135 0.8667 0.3654
O 0.7619 0.8038 0.7247
O 0.8820 0.6298 0.1259
O 0.9788 0.4564 0.5098

Main lines, by intensity (2θ = 10–80°):
two_theta	I_rel	(hkl)
24.26	100	1 0 -1
22.94	94	0 0 2
40.42	57	0 2 -2
42.01	53	0 1 3
45.06	46	-2 1 1
36.61	31	1 -1 2
36.75	26	0 2 0
62.12	26	2 1 -3
63.30	25	2 0 2
49.11	24	1 1 2